The following is a theoretical powder X-ray diffraction pattern of VCrP2H2O10. It was derived from a DFT-relaxed cell (GGA+U, the Materials Project), using CuKα.

Principal peaks in the range 10 to 90 degrees two-theta, in order of rising 2θ:
- d 4.905, I 51, hkl 1 1 1
- d 4.805, I 100, hkl 1 0 -1
- d 3.498, I 21, hkl 0 1 2
- d 3.410, I 42, hkl 1 2 1
- d 3.387, I 27, hkl -1 1 1
- d 3.334, I 23, hkl 0 1 -2
- d 3.259, I 74, hkl 1 2 -1
- d 3.007, I 53, hkl 2 0 0
- d 2.609, I 31, hkl 0 2 2
- d 2.435, I 29, hkl 1 0 -3

Atomic structure:
Cell: 6.7466 7.3868 8.0005 Å, 86.56 88.52 63.07°
Space group P-1 (No. 2)
Symmetry-distinct sites (fractional):
V 0.2499 0.9997 0.2500 x2
Cr 0.2499 0.4998 0.2500 x2
P 0.2418 0.7190 0.5805 x2
P 0.2583 0.2810 0.9197 x2
H 0.0716 0.8354 0.0876 x2
H 0.4282 0.1638 0.4126 x2
O 0.0517 0.8617 0.6976 x2
O 0.0616 0.4229 0.8119 x2
O 0.1480 0.6150 0.4717 x2
O 0.1851 0.1355 0.0322 x2
O 0.1997 0.7851 0.1654 x2
O 0.3002 0.2137 0.3351 x2
O 0.3149 0.8643 0.4677 x2
O 0.3520 0.3848 0.0286 x2
O 0.4385 0.5772 0.6881 x2
O 0.4483 0.1383 0.8023 x2



The following is a theoretical powder X-ray diffraction pattern of SrCrHO2. It was derived from a DFT-relaxed cell (GGA+U, the Materials Project), using CuKα.

Principal peaks in the range 10 to 90 degrees two-theta, in order of rising 2θ:
- d 2.836, I 36, hkl 1 1 0
- d 2.681, I 100, hkl 1 0 1
- d 2.229, I 14, hkl 1 1 1
- d 2.005, I 32, hkl 2 0 0
- d 1.803, I 11, hkl 0 0 2
- d 1.606, I 40, hkl 2 1 1
- d 1.521, I 11, hkl 1 1 2
- d 1.418, I 9, hkl 2 2 0
- d 1.341, I 15, hkl 2 0 2
- d 1.254, I 8, hkl 3 0 1

Atomic structure:
Cell: 4.0110 4.0110 3.6055 Å, 90.00 90.00 90.00°
Space group P4/mmm (No. 123)
Symmetry-distinct sites (fractional):
Sr 0.0000 0.0000 0.0000 x1
Cr 0.5000 0.5000 0.5000 x1
H 0.5000 0.5000 0.0000 x1
O 0.0000 0.5000 0.5000 x2